[1]
Theoretical XRD peak list of LiNiP2O7 for Cu Kα, 1.54184 Å, from DFT lattice parameters and positions (GGA+U).
Kinematic intensities with the Lorentz-polarization factor, no thermal factor.

Cell and atoms:
a b c (Å): 5.024 8.423 6.926
angles (deg): 90.00 109.20 90.00
Space group P2_1 (No. 4)
Asymmetric unit:
Li 0.231 0.000 0.246
Ni 0.193 0.636 0.181
P 0.186 0.696 0.553
P 0.396 0.304 0.039
O 0.055 0.154 0.376
O 0.109 0.800 0.356
O 0.203 0.158 0.009
O 0.240 0.463 0.014
O 0.330 0.553 0.482
O 0.412 0.803 0.093
O 0.416 0.799 0.721

Top 10 peaks for 10° ≤ 2θ ≤ 80°, in order of rising 2θ:
- (0 0 1), 2θ = 13.5°, rel. 21
- (0 1 1), 2θ = 17.2°, rel. 24
- (0 2 0), 2θ = 21.1°, rel. 74
- (1 1 0), 2θ = 21.5°, rel. 100
- (1 1 -1), 2θ = 21.9°, rel. 61
- (1 0 1), 2θ = 26.6°, rel. 45
- (1 2 0), 2θ = 28.3°, rel. 31
- (1 2 -1), 2θ = 28.6°, rel. 50
- (0 1 2), 2θ = 29.3°, rel. 33
- (1 1 -2), 2θ = 29.6°, rel. 20

[2]
Theoretical XRD peak list of LiNiPO4 for Cu Kα, 1.54184 Å, from DFT lattice parameters and positions (GGA+U).
Kinematic intensities with the Lorentz-polarization factor, no thermal factor.

Cell and atoms:
a b c (Å): 7.3918 7.3918 9.4653
angles (deg): 90.00 90.00 120.00
Space group P31c (No. 159)
Asymmetric unit:
Li 0.0501 0.2588 0.0000
Ni 0.0625 0.5923 0.2244
P 0.0000 0.0000 0.2496
P 0.3333 0.6667 0.5252
P 0.3333 0.6667 0.9206
O 0.0000 0.0000 0.4121
O 0.1019 0.8748 0.1904
O 0.1112 0.5052 0.5735
O 0.1581 0.7078 0.8721
O 0.3333 0.6667 0.0914
O 0.3333 0.6667 0.3559

Top 10 peaks for 10° ≤ 2θ ≤ 80°, in order of rising 2θ:
- (1 0 0), 2θ = 13.8°, rel. 45
- (0 0 2), 2θ = 18.7°, rel. 69
- (1 1 0), 2θ = 24.1°, rel. 65
- (2 0 0), 2θ = 27.9°, rel. 54
- (2 -1 2), 2θ = 30.7°, rel. 87
- (1 0 3), 2θ = 31.6°, rel. 62
- (2 0 2), 2θ = 33.8°, rel. 100
- (2 1 1), 2θ = 38.4°, rel. 32
- (3 0 1), 2θ = 43.5°, rel. 29
- (2 1 3), 2θ = 47.3°, rel. 31

[3]
Theoretical XRD peak list of LiNi4P3O12 for Cu Kα, 1.54184 Å, from DFT lattice parameters and positions (GGA+U).
Kinematic intensities with the Lorentz-polarization factor, no thermal factor.

Cell and atoms:
a b c (Å): 11.614 12.445 6.422
angles (deg): 90.00 115.75 90.00
Space group Cc (No. 9)
Asymmetric unit:
Li 0.000 0.019 0.000
Ni 0.007 0.492 0.726
Ni 0.215 0.159 0.383
Ni 0.283 0.340 0.118
Ni 0.497 0.237 0.996
P 0.228 0.108 0.879
P 0.269 0.394 0.621
P 0.499 0.202 0.498
O 0.039 0.227 0.216
O 0.097 0.378 0.975
O 0.121 0.413 0.553
O 0.155 0.001 0.852
O 0.161 0.168 0.644
O 0.218 0.178 0.071
O 0.275 0.323 0.429
O 0.334 0.333 0.854
O 0.344 0.500 0.148
O 0.375 0.095 0.944
O 0.403 0.119 0.517
O 0.457 0.274 0.282

Top 10 peaks for 10° ≤ 2θ ≤ 80°, in order of rising 2θ:
- (1 1 0), 2θ = 11.0°, rel. 56
- (0 2 0), 2θ = 14.2°, rel. 33
- (3 1 0), 2θ = 26.5°, rel. 58
- (1 1 -2), 2θ = 29.1°, rel. 25
- (3 1 -2), 2θ = 31.3°, rel. 33
- (2 2 -2), 2θ = 31.6°, rel. 24
- (2 4 0), 2θ = 33.5°, rel. 100
- (4 0 0), 2θ = 34.3°, rel. 50
- (1 3 -2), 2θ = 35.7°, rel. 39
- (3 1 -3), 2θ = 43.2°, rel. 24

[4]
Theoretical XRD peak list of LiNiPO4 for Cu Kα, 1.54184 Å, from DFT lattice parameters and positions (GGA+U).
Kinematic intensities with the Lorentz-polarization factor, no thermal factor.

Cell and atoms:
a b c (Å): 7.945 8.939 4.910
angles (deg): 90.00 90.00 90.00
Space group Pna2_1 (No. 33)
Asymmetric unit:
Li 0.051 0.114 0.000
Ni 0.167 0.526 0.065
P 0.223 0.357 0.629
O 0.056 0.431 0.737
O 0.139 0.957 0.271
O 0.221 0.195 0.740
O 0.241 0.360 0.318

Top 10 peaks for 10° ≤ 2θ ≤ 80°, in order of rising 2θ:
- (1 1 0), 2θ = 14.9°, rel. 94
- (0 2 0), 2θ = 19.9°, rel. 82
- (0 1 1), 2θ = 20.6°, rel. 88
- (2 0 0), 2θ = 22.4°, rel. 100
- (1 1 1), 2θ = 23.5°, rel. 58
- (2 0 1), 2θ = 28.9°, rel. 33
- (2 1 1), 2θ = 30.6°, rel. 30
- (2 2 1), 2θ = 35.3°, rel. 85
- (1 3 1), 2θ = 37.1°, rel. 79
- (3 1 2), 2θ = 51.8°, rel. 42

[5]
Theoretical XRD peak list of LiNi4P3O12 for Cu Kα, 1.54184 Å, from DFT lattice parameters and positions (GGA+U).
Kinematic intensities with the Lorentz-polarization factor, no thermal factor.

Cell and atoms:
a b c (Å): 6.382 14.779 9.925
angles (deg): 90.00 90.00 90.00
Space group Cmc2_1 (No. 36)
Asymmetric unit:
Li 0.000 0.022 0.000
Ni 0.000 0.368 0.692
Ni 0.000 0.374 0.314
Ni 0.247 0.301 0.004
P 0.000 0.185 0.219
P 0.000 0.185 0.791
P 0.000 0.479 0.049
O 0.000 0.215 0.373
O 0.000 0.216 0.637
O 0.000 0.280 0.141
O 0.000 0.281 0.867
O 0.000 0.422 0.502
O 0.000 0.488 0.205
O 0.192 0.132 0.180
O 0.192 0.132 0.831
O 0.205 0.432 0.001

Top 10 peaks for 10° ≤ 2θ ≤ 80°, in order of rising 2θ:
- (0 2 0), 2θ = 12.0°, rel. 100
- (1 1 0), 2θ = 15.1°, rel. 82
- (0 2 3), 2θ = 29.6°, rel. 95
- (0 4 2), 2θ = 30.2°, rel. 34
- (2 2 1), 2θ = 31.9°, rel. 30
- (2 0 2), 2θ = 33.4°, rel. 64
- (2 2 2), 2θ = 35.6°, rel. 45
- (0 6 1), 2θ = 37.6°, rel. 43
- (2 6 3), 2θ = 54.6°, rel. 25
- (2 2 5), 2θ = 56.0°, rel. 22

[6]
Theoretical XRD peak list of LiNiPO4 for Cu Kα, 1.54184 Å, from DFT lattice parameters and positions (GGA+U).
Kinematic intensities with the Lorentz-polarization factor, no thermal factor.

Cell and atoms:
a b c (Å): 10.302 6.154 4.685
angles (deg): 90.00 90.00 90.00
Space group Pnma (No. 62)
Asymmetric unit:
Li 0.215 0.250 0.016
Ni 0.000 0.000 0.500
P 0.093 0.750 0.087
O 0.049 0.250 0.773
O 0.086 0.750 0.755
O 0.157 0.543 0.211

Top 10 peaks for 10° ≤ 2θ ≤ 80°, in order of rising 2θ:
- (2 0 0), 2θ = 17.2°, rel. 100
- (1 0 1), 2θ = 20.8°, rel. 20
- (2 1 0), 2θ = 22.5°, rel. 27
- (3 0 1), 2θ = 32.3°, rel. 38
- (1 2 1), 2θ = 36.0°, rel. 68
- (3 2 1), 2θ = 44.0°, rel. 21
- (5 0 1), 2θ = 48.3°, rel. 13
- (2 2 2), 2θ = 52.2°, rel. 24
- (4 2 2), 2θ = 61.4°, rel. 12
- (6 2 0), 2θ = 61.9°, rel. 16